No. 1
Calculated powder XRD pattern of Ti2P2O10F for Cu Kα, from DFT lattice parameters and positions (GGA-PBE).

Most intense lines, 10 to 90 degrees two-theta, most intense first:
| two_theta | Rel. int. |
| --- | --- |
| 19.8 | 100.0 |
| 12.0 | 81.9 |
| 14.4 | 72.5 |
| 29.8 | 65.3 |
| 26.5 | 59.1 |
| 23.7 | 56.1 |
| 28.9 | 41.5 |
| 24.0 | 32.8 |
| 19.0 | 25.6 |
| 15.6 | 21.8 |

Structural model:
Cell: 5.190 14.722 12.337 Å, 90.00 113.36 90.00°
Element x y z (fractional)
Ti (0.061, 0.038, 0.319)
Ti (0.061, 0.462, 0.819)
Ti (0.431, 0.670, 0.454)
Ti (0.431, 0.830, 0.954)
Ti (0.569, 0.170, 0.046)
Ti (0.569, 0.330, 0.546)
Ti (0.939, 0.538, 0.181)
Ti (0.939, 0.962, 0.681)
P (0.296, 0.622, 0.036)
P (0.296, 0.878, 0.536)
P (0.400, 0.520, 0.654)
P (0.400, 0.980, 0.154)
P (0.600, 0.020, 0.846)
P (0.600, 0.480, 0.346)
P (0.704, 0.122, 0.464)
P (0.704, 0.378, 0.964)
O (0.077, 0.621, 0.091)
O (0.077, 0.879, 0.591)
O (0.176, 0.524, 0.706)
O (0.176, 0.976, 0.206)
O (0.186, 0.205, 0.942)
O (0.186, 0.295, 0.442)
O (0.218, 0.547, 0.940)
O (0.218, 0.953, 0.440)
O (0.294, 0.715, 0.976)
O (0.294, 0.785, 0.476)
O (0.301, 0.021, 0.747)
O (0.301, 0.479, 0.247)
O (0.358, 0.602, 0.572)
O (0.358, 0.898, 0.072)
O (0.367, 0.067, 0.078)
O (0.367, 0.231, 0.130)
O (0.367, 0.269, 0.630)
O (0.367, 0.433, 0.578)
O (0.406, 0.107, 0.370)
O (0.406, 0.393, 0.870)
O (0.594, 0.607, 0.130)
O (0.594, 0.893, 0.630)
O (0.633, 0.567, 0.422)
O (0.633, 0.731, 0.370)
O (0.633, 0.769, 0.870)
O (0.633, 0.933, 0.922)
O (0.642, 0.102, 0.928)
O (0.642, 0.398, 0.428)
O (0.699, 0.521, 0.753)
O (0.699, 0.979, 0.253)
O (0.706, 0.215, 0.524)
O (0.706, 0.285, 0.024)
O (0.782, 0.047, 0.560)
O (0.782, 0.453, 0.060)
O (0.814, 0.705, 0.558)
O (0.814, 0.795, 0.058)
O (0.824, 0.024, 0.794)
O (0.824, 0.476, 0.294)
O (0.923, 0.121, 0.409)
O (0.923, 0.379, 0.909)
F (0.109, 0.633, 0.314)
F (0.109, 0.867, 0.814)
F (0.891, 0.133, 0.186)
F (0.891, 0.367, 0.686)



No. 2
Calculated powder XRD pattern of Bi7S9Cl3 for Cu Kα, from DFT lattice parameters and positions (GGA-PBE).

Most intense lines, 10 to 90 degrees two-theta, most intense first:
| two_theta | Rel. int. |
| --- | --- |
| 13.3 | 100.0 |
| 25.9 | 90.6 |
| 25.0 | 83.1 |
| 21.2 | 80.9 |
| 41.1 | 74.9 |
| 22.1 | 71.2 |
| 24.3 | 65.9 |
| 24.6 | 63.2 |
| 24.4 | 62.3 |
| 41.7 | 61.7 |

Structural model:
Cell: 11.137 4.388 13.173 Å, 90.00 112.73 90.00°
Element x y z (fractional)
Bi (0.000, 0.000, 0.000)
Bi (0.091, 0.500, 0.694)
Bi (0.190, 0.500, 0.428)
Bi (0.397, 0.500, 0.147)
Bi (0.580, 0.000, 0.930)
Bi (0.738, 0.500, 0.744)
Bi (0.832, 0.000, 0.427)
S (0.068, 0.000, 0.567)
S (0.161, 0.500, 0.992)
S (0.299, 0.500, 0.639)
S (0.568, 0.000, 0.723)
S (0.570, 0.500, 0.063)
S (0.806, 0.500, 0.553)
S (0.809, 0.500, 0.968)
S (0.930, 0.000, 0.791)
S (0.938, 0.500, 0.341)
Cl (0.195, 0.000, 0.285)
Cl (0.325, 0.000, 0.870)
Cl (0.518, 0.000, 0.279)



No. 3
Calculated powder XRD pattern of BaCe2S4 for Cu Kα, from DFT lattice parameters and positions (GGA-PBE).

Most intense lines, 10 to 90 degrees two-theta, most intense first:
| two_theta | Rel. int. |
| --- | --- |
| 24.6 | 100.0 |
| 31.9 | 65.4 |
| 38.0 | 41.9 |
| 32.0 | 33.7 |
| 45.7 | 28.1 |
| 48.2 | 27.1 |
| 64.8 | 26.0 |
| 38.1 | 18.5 |
| 52.7 | 18.2 |
| 79.4 | 14.9 |

Structural model:
Cell: 7.672 7.672 7.672 Å, 109.33 109.33 109.75°
Element x y z (fractional)
Ba (0.000, 0.000, 0.000)
Ba (0.750, 0.250, 0.500)
Ce (0.252, 0.625, 0.127)
Ce (0.375, 0.502, 0.627)
Ce (0.498, 0.125, 0.873)
Ce (0.875, 0.748, 0.373)
S (0.143, 0.732, 0.745)
S (0.148, 0.237, 0.755)
S (0.268, 0.013, 0.411)
S (0.482, 0.393, 0.245)
S (0.602, 0.857, 0.589)
S (0.607, 0.852, 0.089)
S (0.763, 0.518, 0.911)
S (0.987, 0.398, 0.255)



No. 4
Calculated powder XRD pattern of Mg8BPt4 for Cu Kα, from DFT lattice parameters and positions (GGA-PBE).

Most intense lines, 10 to 90 degrees two-theta, most intense first:
| two_theta | Rel. int. |
| --- | --- |
| 25.0 | 100.0 |
| 37.9 | 81.6 |
| 12.4 | 44.8 |
| 41.4 | 44.2 |
| 29.0 | 41.2 |
| 57.4 | 26.1 |
| 53.0 | 23.9 |
| 80.6 | 19.7 |
| 69.9 | 17.2 |
| 49.0 | 15.9 |

Structural model:
Cell: 8.721 8.721 8.721 Å, 60.00 60.00 60.00°
Element x y z (fractional)
Mg (0.000, 0.000, 0.000)
Mg (0.000, 0.000, 0.500)
Mg (0.000, 0.500, 0.000)
Mg (0.175, 0.175, 0.575)
Mg (0.175, 0.575, 0.175)
Mg (0.175, 0.575, 0.575)
Mg (0.425, 0.425, 0.825)
Mg (0.425, 0.825, 0.425)
Mg (0.425, 0.825, 0.825)
Mg (0.500, 0.000, 0.000)
Mg (0.575, 0.175, 0.175)
Mg (0.575, 0.175, 0.575)
Mg (0.575, 0.575, 0.175)
Mg (0.825, 0.425, 0.425)
Mg (0.825, 0.425, 0.825)
Mg (0.825, 0.825, 0.425)
B (0.125, 0.125, 0.125)
B (0.875, 0.875, 0.875)
Pt (0.173, 0.776, 0.776)
Pt (0.224, 0.224, 0.224)
Pt (0.224, 0.224, 0.827)
Pt (0.224, 0.827, 0.224)
Pt (0.776, 0.173, 0.776)
Pt (0.776, 0.776, 0.173)
Pt (0.776, 0.776, 0.776)
Pt (0.827, 0.224, 0.224)



No. 5
Calculated powder XRD pattern of SmGa8Fe2 for Cu Kα, from DFT lattice parameters and positions (GGA-PBE).

Most intense lines, 10 to 90 degrees two-theta, most intense first:
| two_theta | Rel. int. |
| --- | --- |
| 36.1 | 100.0 |
| 34.3 | 57.8 |
| 45.3 | 46.4 |
| 36.7 | 29.9 |
| 44.1 | 29.5 |
| 46.5 | 24.1 |
| 43.7 | 23.9 |
| 44.3 | 20.4 |
| 67.0 | 15.6 |
| 73.1 | 15.0 |

Structural model:
Cell: 12.698 14.352 4.000 Å, 90.00 90.00 90.00°
Element x y z (fractional)
Sm (0.157, 0.181, 0.000)
Sm (0.343, 0.681, 0.000)
Sm (0.657, 0.319, 0.000)
Sm (0.843, 0.819, 0.000)
Ga (0.000, 0.000, 0.000)
Ga (0.000, 0.500, 0.500)
Ga (0.024, 0.866, 0.500)
Ga (0.049, 0.318, 0.500)
Ga (0.099, 0.746, 0.000)
Ga (0.162, 0.454, 0.000)
Ga (0.164, 0.622, 0.500)
Ga (0.168, 0.009, 0.500)
Ga (0.239, 0.826, 0.500)
Ga (0.261, 0.326, 0.500)
Ga (0.332, 0.509, 0.500)
Ga (0.336, 0.122, 0.500)
Ga (0.338, 0.954, 0.000)
Ga (0.401, 0.246, 0.000)
Ga (0.451, 0.818, 0.500)
Ga (0.476, 0.366, 0.500)
Ga (0.500, 0.000, 0.500)
Ga (0.500, 0.500, 0.000)
Ga (0.524, 0.634, 0.500)
Ga (0.549, 0.182, 0.500)
Ga (0.599, 0.754, 0.000)
Ga (0.662, 0.046, 0.000)
Ga (0.664, 0.878, 0.500)
Ga (0.668, 0.491, 0.500)
Ga (0.739, 0.674, 0.500)
Ga (0.761, 0.174, 0.500)
Ga (0.832, 0.991, 0.500)
Ga (0.836, 0.378, 0.500)
Ga (0.838, 0.546, 0.000)
Ga (0.901, 0.254, 0.000)
Ga (0.951, 0.682, 0.500)
Ga (0.976, 0.134, 0.500)
Fe (0.035, 0.594, 0.000)
Fe (0.152, 0.903, 0.000)
Fe (0.348, 0.403, 0.000)
Fe (0.465, 0.094, 0.000)
Fe (0.535, 0.906, 0.000)
Fe (0.652, 0.597, 0.000)
Fe (0.848, 0.097, 0.000)
Fe (0.965, 0.406, 0.000)



No. 6
Calculated powder XRD pattern of KSbPCO7 for Cu Kα, from DFT lattice parameters and positions (GGA-PBE).

Most intense lines, 10 to 90 degrees two-theta, most intense first:
| two_theta | Rel. int. |
| --- | --- |
| 15.9 | 100.0 |
| 20.3 | 90.3 |
| 26.8 | 89.5 |
| 23.6 | 65.5 |
| 30.9 | 60.5 |
| 17.5 | 57.5 |
| 23.0 | 35.2 |
| 32.4 | 35.0 |
| 32.2 | 33.4 |
| 33.2 | 28.2 |

Structural model:
Cell: 5.795 6.654 10.140 Å, 90.00 91.33 90.00°
Element x y z (fractional)
K (0.236, 0.000, 0.211)
K (0.764, 0.500, 0.789)
Sb (0.215, 0.839, 0.639)
Sb (0.785, 0.339, 0.361)
P (0.275, 0.334, 0.558)
P (0.725, 0.834, 0.442)
C (0.282, 0.799, 0.888)
C (0.718, 0.299, 0.112)
O (0.075, 0.816, 0.826)
O (0.148, 0.325, 0.422)
O (0.195, 0.519, 0.641)
O (0.202, 0.156, 0.650)
O (0.308, 0.773, 0.008)
O (0.456, 0.811, 0.802)
O (0.462, 0.838, 0.460)
O (0.538, 0.338, 0.540)
O (0.544, 0.311, 0.198)
O (0.692, 0.273, 0.992)
O (0.798, 0.656, 0.350)
O (0.805, 0.019, 0.359)
O (0.852, 0.825, 0.578)
O (0.925, 0.316, 0.174)